(1)
This entry pairs a crystal structure of GaCo4 with its computed XRD peak list. Radiation: Cu Kα X-rays. Structure: a DFT-relaxed cell (PBE, the Materials Project).
No peak broadening, texture or thermal motion is included.

```
data_GaCo4
_chemical_formula_sum 'Ga3 Co12'
_cell_length_a 2.5854
_cell_length_b 2.5854
_cell_length_c 30.1213
_cell_angle_alpha 90.00
_cell_angle_beta 90.00
_cell_angle_gamma 120.00
_space_group_name_H-M_alt 'R -3 m'
_space_group_IT_number 166
_space_group_name_Hall '-R 3 2"'
loop_
_atom_site_label
_atom_site_type_symbol
_atom_site_fract_x
_atom_site_fract_y
_atom_site_fract_z
_atom_site_occupancy
Ga1 Ga 0.0000 0.0000 0.0000 1
Co1 Co 0.0000 0.0000 0.2002 1
Co2 Co 0.0000 0.0000 0.4021 1
```

Peak list (6 most intense, 10° ≤ 2θ ≤ 90°, low angle first)
d [Å]  I (rel.)
2.099  100
2.008  29
1.797  60
1.293  19
1.250  16
1.101  11


(2)
This entry pairs a crystal structure of TiNi3 with its computed XRD peak list. Radiation: Cu Kα X-rays. Structure: a DFT-relaxed cell (PBE, the Materials Project).
No peak broadening, texture or thermal motion is included.

```
data_TiNi3
_chemical_formula_sum 'Ti4 Ni12'
_cell_length_a 5.0958
_cell_length_b 5.0958
_cell_length_c 8.3116
_cell_angle_alpha 90.00
_cell_angle_beta 90.00
_cell_angle_gamma 120.00
_space_group_name_H-M_alt 'P 63/m m c'
_space_group_IT_number 194
_space_group_name_Hall '-P 6c 2c'
loop_
_atom_site_label
_atom_site_type_symbol
_atom_site_fract_x
_atom_site_fract_y
_atom_site_fract_z
_atom_site_occupancy
Ti1 Ti 0.0000 0.0000 0.0000 1
Ti2 Ti 0.3333 0.6667 0.2500 1
Ni1 Ni 0.0000 0.5000 0.0000 1
Ni2 Ni 0.1717 0.3434 0.7500 1
```

Peak list (6 most intense, 10° ≤ 2θ ≤ 90°, low angle first)
d [Å]  I (rel.)
2.133  44
2.078  37
1.949  100
1.726  22
1.274  19
1.173  17


(3)
This entry pairs a crystal structure of NbNO with its computed XRD peak list. Radiation: Cu Kα X-rays. Structure: a DFT-relaxed cell (PBE, the Materials Project).
No peak broadening, texture or thermal motion is included.

```
data_NbNO
_chemical_formula_sum 'Nb4 N4 O4'
_cell_length_a 3.9692
_cell_length_b 3.9692
_cell_length_c 10.4850
_cell_angle_alpha 90.00
_cell_angle_beta 90.00
_cell_angle_gamma 90.00
_space_group_name_H-M_alt 'I 41 m d'
_space_group_IT_number 109
_space_group_name_Hall 'I 4bw -2'
loop_
_atom_site_label
_atom_site_type_symbol
_atom_site_fract_x
_atom_site_fract_y
_atom_site_fract_z
_atom_site_occupancy
Nb1 Nb 0.0000 0.0000 0.0000 1
N1 N 0.0000 0.0000 0.1860 1
O1 O 0.0000 0.0000 0.7664 1
```

Peak list (6 most intense, 10° ≤ 2θ ≤ 90°, low angle first)
d [Å]  I (rel.)
3.712  100
2.622  45
2.474  31
1.985  24
1.750  22
1.582  28